No. 1
Structure and calculated PXRD pattern of Ca2Mg2Cu (a cell relaxed with PBE; Cu Kα, 1.54184 Å).
Intensities are scaled so that the largest is 100.

```
data_Ca2Mg2Cu
_chemical_formula_sum 'Ca8 Mg8 Cu4'
_cell_length_a 4.151
_cell_length_b 11.495
_cell_length_c 11.133
_cell_angle_alpha 90.00
_cell_angle_beta 90.00
_cell_angle_gamma 90.00
_space_group_name_H-M_alt 'C m c 21'
_space_group_IT_number 36
loop_
_space_group_symop_operation_xyz
'x,y,z'
'-x,-y,z+1/2'
'-x,y,z'
'x,-y,z+1/2'
'x+1/2,y+1/2,z'
'-x+1/2,-y+1/2,z+1/2'
'-x+1/2,y+1/2,z'
'x+1/2,-y+1/2,z+1/2'
loop_
_atom_site_label
_atom_site_type_symbol
_atom_site_fract_x
_atom_site_fract_y
_atom_site_fract_z
Ca1 Ca 0.000 0.093 0.000
Ca2 Ca 0.000 0.189 0.329
Mg1 Mg 0.000 0.185 0.630
Mg2 Mg 0.000 0.484 0.243
Cu1 Cu 0.000 0.400 0.998
```

Most intense lines, 2θ from 10° to 90°, by angle:
2theta, d/Å, I (rel.), (hkl)
15.92, 5.566, 37.6, 0 0 2
17.36, 5.107, 47.1, 0 2 1
32.16, 2.783, 22.5, 0 0 4
32.81, 2.730, 100.0, 1 3 1
33.31, 2.690, 98.1, 1 1 3
35.14, 2.554, 34.0, 0 4 2
35.85, 2.505, 24.8, 0 2 4
40.20, 2.243, 25.4, 1 3 3
43.60, 2.076, 32.8, 2 0 0
52.39, 1.746, 21.5, 1 3 5


No. 2
Structure and calculated PXRD pattern of Ca2Mg2Cu15 (a cell relaxed with PBE; Cu Kα, 1.54184 Å).
Intensities are scaled so that the largest is 100.

```
data_Ca2Mg2Cu15
_chemical_formula_sum 'Ca6 Mg6 Cu45'
_cell_length_a 8.7077
_cell_length_b 8.7077
_cell_length_c 12.7558
_cell_angle_alpha 90.00
_cell_angle_beta 90.00
_cell_angle_gamma 120.00
_space_group_name_H-M_alt 'R -3 m'
_space_group_IT_number 166
_space_group_name_Hall '-R 3 2"'
loop_
_atom_site_label
_atom_site_type_symbol
_atom_site_fract_x
_atom_site_fract_y
_atom_site_fract_z
Ca1 Ca 0.0000 0.0000 0.1480
Mg1 Mg 0.0000 0.0000 0.3951
Cu1 Cu 0.0000 0.2990 0.5000
Cu2 Cu 0.0000 0.5000 0.0000
Cu3 Cu 0.0014 0.5007 0.6556
```

Most intense lines, 2θ from 10° to 90°, by angle:
2theta, d/Å, I (rel.), (hkl)
20.40, 4.354, 59.0, 1 1 0
35.72, 2.514, 16.7, 3 0 0
41.48, 2.177, 43.9, 2 2 0
41.74, 2.164, 100.0, 0 3 3
42.52, 2.126, 47.6, 0 0 6
46.89, 1.938, 98.6, 2 2 3
47.60, 1.910, 23.1, 1 1 6
60.91, 1.521, 18.3, 2 2 6
75.67, 1.257, 18.4, 6 0 0
77.29, 1.234, 17.0, 0 3 9


No. 3
Structure and calculated PXRD pattern of CaMg14Cu (a cell relaxed with PBE; Cu Kα, 1.54184 Å).
Intensities are scaled so that the largest is 100.

```
data_CaMg14Cu
_chemical_formula_sum 'Ca1 Mg14 Cu1'
_cell_length_a 6.3967
_cell_length_b 6.3967
_cell_length_c 10.3681
_cell_angle_alpha 90.00
_cell_angle_beta 90.00
_cell_angle_gamma 120.00
_space_group_name_H-M_alt 'P -6 m 2'
_space_group_IT_number 187
_space_group_name_Hall 'P -6 2'
loop_
_atom_site_label
_atom_site_type_symbol
_atom_site_fract_x
_atom_site_fract_y
_atom_site_fract_z
Ca1 Ca 0.0000 0.0000 0.0000
Mg1 Mg 0.0099 0.5050 0.0000
Mg2 Mg 0.1635 0.3270 0.2673
Mg3 Mg 0.5041 0.0083 0.5000
Mg4 Mg 0.6667 0.3333 0.2400
Cu1 Cu 0.0000 0.0000 0.5000
```

Most intense lines, 2θ from 10° to 90°, by angle:
2theta, d/Å, I (rel.), (hkl)
16.00, 5.540, 9.8, 1 0 0
23.50, 3.785, 6.5, 1 0 2
32.32, 2.770, 25.4, 2 0 0
34.61, 2.592, 25.0, 0 0 4
36.79, 2.443, 100.0, 2 0 2
48.08, 1.893, 15.3, 2 0 4
57.64, 1.599, 17.0, 2 2 0
63.45, 1.466, 16.3, 2 0 6
69.00, 1.361, 17.7, 2 2 4
70.36, 1.338, 13.2, 4 0 2